# 1
Diffraction record for Tb5P2S2. The powder XRD pattern is theoretical, not measured: it uses the GGA-PBE geometry in Alexandria and Cu Kα X-rays.

Cell and atoms:
```
Tb5P2S2
1.0
7.0354 -3.7106 0.0000
7.0354 3.7106 0.0000
0.0000 0.0000 7.4867
Tb P S
10 4 4
Direct
0.0000 0.0000 0.0000
0.0238 0.7044 0.6542
0.2044 0.5238 0.1542
0.2956 0.9762 0.6542
0.4762 0.7956 0.1542
0.5000 0.5000 0.5000
0.5238 0.2044 0.8458
0.7044 0.0238 0.3458
0.7956 0.4762 0.8458
0.9762 0.2956 0.3458
0.1453 0.8547 0.3556
0.3547 0.6453 0.8556
0.6453 0.3547 0.1444
0.8547 0.1453 0.6444
0.1957 0.1957 0.0000
0.3043 0.3043 0.5000
0.6957 0.6957 0.5000
0.8043 0.8043 0.0000
```

Principal peaks in the range 15° ≤ 2θ ≤ 90°, low angle first:
Position (°2θ)  intensity
25.3  31
25.4  50
26.8  71
27.4  57
32.9  100
35.2  33
37.2  84
38.6  56
38.9  59
55.9  33



# 2
Diffraction record for Sm2Ge2Pd5. The powder XRD pattern is theoretical, not measured: it uses the GGA-PBE geometry in Alexandria and Cu Kα X-rays.

Cell and atoms:
```
Sm2Ge2Pd5
1.0
4.2744 0.0000 0.0000
0.0000 4.2744 0.0000
0.0000 0.0000 9.1540
Sm Ge Pd
2 2 5
Direct
0.0000 0.0000 0.0000
0.0000 0.0000 0.5000
0.5000 0.5000 0.1354
0.5000 0.5000 0.8646
0.0000 0.5000 0.2749
0.0000 0.5000 0.7251
0.5000 0.0000 0.2749
0.5000 0.0000 0.7251
0.5000 0.5000 0.5000
```

Principal peaks in the range 15° ≤ 2θ ≤ 90°, low angle first:
Position (°2θ)  intensity
28.6  12
35.6  100
39.4  11
42.1  18
42.3  47
44.9  9
59.1  13
61.3  15
69.0  13
73.0  24



# 3
Diffraction record for NaSr3NdTi5O15. The powder XRD pattern is theoretical, not measured: it uses the GGA-PBE geometry in Alexandria and Cu Kα X-rays.

Cell and atoms:
```
NaSr3NdTi5O15
1.0
-2.7580 2.7580 19.7313
2.7580 -2.7580 19.7313
2.7580 2.7580 -19.7313
Na Sr Nd Ti O
2 6 2 10 30
Direct
0.2007 0.2007 0.0000
0.7993 0.7993 0.0000
0.0000 0.0000 0.0000
0.1007 0.1007 0.0000
0.3996 0.3996 0.0000
0.5000 0.5000 0.0000
0.6004 0.6004 0.0000
0.8993 0.8993 0.0000
0.2997 0.2997 0.0000
0.7003 0.7003 0.0000
0.0504 0.5504 0.5000
0.1514 0.6514 0.5000
0.2500 0.7500 0.5000
0.3486 0.8486 0.5000
0.4496 0.9496 0.5000
0.5504 0.0504 0.5000
0.6514 0.1514 0.5000
0.7500 0.2500 0.5000
0.8486 0.3486 0.5000
0.9496 0.4496 0.5000
0.0000 0.5000 0.5000
0.0537 0.4496 0.0000
0.0653 0.6328 0.0000
0.1009 0.6009 0.5000
0.1432 0.1432 0.5913
0.1734 0.1734 0.4480
0.2007 0.7007 0.5000
0.2256 0.6739 0.0000
0.2746 0.8266 0.0000
0.2993 0.7993 0.5000
0.3261 0.3261 0.5517
0.3672 0.3672 0.4324
0.3991 0.8991 0.5000
0.4482 0.8568 0.0000
0.4496 0.0537 0.0000
0.5000 0.0000 0.5000
0.5504 0.5504 0.6041
0.5518 0.5518 0.4087
0.6009 0.1009 0.5000
0.6328 0.0653 0.0000
0.6739 0.2256 0.0000
0.7007 0.2007 0.5000
0.7254 0.7254 0.5520
0.7744 0.7744 0.4483
0.7993 0.2993 0.5000
0.8266 0.2746 0.0000
0.8568 0.4482 0.0000
0.8991 0.3991 0.5000
0.9347 0.9347 0.5676
0.9463 0.9463 0.3959
```

Principal peaks in the range 15° ≤ 2θ ≤ 90°, low angle first:
Position (°2θ)  intensity
17.4  13
19.6  15
32.3  100
32.5  54
39.9  33
46.0  22
46.6  39
57.4  21
57.8  41
67.5  23



# 4
Diffraction record for AcLaPb6. The powder XRD pattern is theoretical, not measured: it uses the GGA-PBE geometry in Alexandria and Cu Kα X-rays.

Cell and atoms:
```
AcLaPb6
1.0
5.0149 0.0000 0.0000
0.0000 5.0149 0.0000
0.0000 0.0000 10.0135
Ac La Pb
1 1 6
Direct
0.0000 0.0000 0.0000
0.0000 0.0000 0.5000
0.0000 0.5000 0.2552
0.0000 0.5000 0.7448
0.5000 0.0000 0.2552
0.5000 0.0000 0.7448
0.5000 0.5000 0.0000
0.5000 0.5000 0.5000
```

Principal peaks in the range 15° ≤ 2θ ≤ 90°, low angle first:
Position (°2θ)  intensity
30.9  100
35.8  51
51.6  37
61.3  44
64.4  13
75.9  4
76.0  2
84.2  19
86.9  12
87.0  6



# 5
Diffraction record for La2Pm6YHo3. The powder XRD pattern is theoretical, not measured: it uses the GGA-PBE geometry in Alexandria and Cu Kα X-rays.

Cell and atoms:
```
La2Pm6YHo3
1.0
3.1463 -5.4511 0.0000
3.1463 5.4511 0.0000
-2.1030 0.0000 11.8314
La Pm Y Ho
2 6 1 3
Direct
0.1666 0.8334 0.0000
0.8334 0.1666 0.0000
0.0822 0.4148 0.7448
0.2526 0.2526 0.2555
0.4148 0.0822 0.7448
0.5853 0.9178 0.2552
0.7474 0.7474 0.7445
0.9178 0.5853 0.2552
0.5000 0.5000 0.0000
0.0000 0.0000 0.5000
0.3337 0.6663 0.5000
0.6663 0.3337 0.5000
```

Principal peaks in the range 15° ≤ 2θ ≤ 90°, low angle first:
Position (°2θ)  intensity
30.1  100
30.2  33
35.0  67
50.2  24
50.3  24
59.7  43
59.8  14
62.6  12
81.7  12
84.3  11



# 6
Diffraction record for CaVFe2As. The powder XRD pattern is theoretical, not measured: it uses the GGA-PBE geometry in Alexandria and Cu Kα X-rays.

Cell and atoms:
```
CaVFe2As
1.0
4.5399 0.0000 0.0000
0.0000 4.5399 0.0000
0.0000 0.0000 4.7289
Ca V Fe As
1 1 2 1
Direct
0.0000 0.0000 0.0000
0.5000 0.5000 0.0000
0.0000 0.5000 0.5000
0.5000 0.0000 0.5000
0.5000 0.5000 0.5000
```

Principal peaks in the range 15° ≤ 2θ ≤ 90°, low angle first:
Position (°2θ)  intensity
18.8  44
19.6  56
27.2  33
33.7  69
38.1  57
39.7  100
44.3  19
56.2  68
57.4  31
71.0  32



# 7
Diffraction record for Sc3Ti3Ga8. The powder XRD pattern is theoretical, not measured: it uses the GGA-PBE geometry in Alexandria and Cu Kα X-rays.

Cell and atoms:
```
Sc3Ti3Ga8
1.0
-2.0540 4.6935 6.5132
2.0540 -4.6935 6.5132
2.0540 4.6935 -6.5132
Sc Ti Ga
3 3 8
Direct
0.0000 0.0000 0.0000
0.2959 0.2959 0.0000
0.7041 0.7041 0.0000
0.3184 0.5000 0.8184
0.5000 0.0000 0.5000
0.6816 0.5000 0.1816
0.0237 0.6558 0.3678
0.1495 0.8609 0.2886
0.2880 0.6558 0.6322
0.4277 0.1391 0.2886
0.5723 0.8609 0.7114
0.7120 0.3442 0.3678
0.8505 0.1391 0.7114
0.9763 0.3442 0.6322
```

Principal peaks in the range 15° ≤ 2θ ≤ 90°, low angle first:
Position (°2θ)  intensity
33.5  36
35.7  100
36.1  49
36.5  42
38.7  38
41.6  35
44.1  56
45.0  35
45.9  45
68.3  27



# 8
Diffraction record for CsPdPtBr6. The powder XRD pattern is theoretical, not measured: it uses the GGA-PBE geometry in Alexandria and Cu Kα X-rays.

Cell and atoms:
```
CsPdPtBr6
1.0
6.7740 0.0000 0.0000
-2.1742 6.4503 0.0000
-0.7726 -1.5275 7.5830
Cs Pd Pt Br
1 1 1 6
Direct
0.0000 0.0000 0.0000
0.8192 0.1697 0.5001
0.4804 0.5137 0.5015
0.1877 0.2368 0.6319
0.1962 0.5356 0.2853
0.4584 0.8084 0.7231
0.5182 0.2064 0.2956
0.7643 0.7978 0.3693
0.7762 0.4784 0.7047
```

Principal peaks in the range 15° ≤ 2θ ≤ 90°, low angle first:
Position (°2θ)  intensity
16.1  80
16.4  73
16.7  69
19.6  56
23.4  73
29.2  100
30.0  89
30.7  97
37.1  46
42.2  52



# 9
Diffraction record for Dy3Tm5S8. The powder XRD pattern is theoretical, not measured: it uses the GGA-PBE geometry in Alexandria and Cu Kα X-rays.

Cell and atoms:
```
Dy3Tm5S8
1.0
3.8643 2.2310 6.3201
-3.8643 2.2310 6.3201
0.0000 -4.4621 6.3201
Dy Tm S
3 5 8
Direct
0.0000 0.5000 0.5000
0.5000 0.0000 0.5000
0.5000 0.5000 0.0000
0.0000 0.0000 0.0000
0.0000 0.0000 0.5000
0.0000 0.5000 0.0000
0.5000 0.0000 0.0000
0.5000 0.5000 0.5000
0.2457 0.7500 0.7500
0.2478 0.2478 0.2478
0.2500 0.2500 0.7543
0.2500 0.7543 0.2500
0.7500 0.2457 0.7500
0.7500 0.7500 0.2457
0.7522 0.7522 0.7522
0.7543 0.2500 0.2500
```

Principal peaks in the range 15° ≤ 2θ ≤ 90°, low angle first:
Position (°2θ)  intensity
28.3  85
32.8  100
47.0  72
55.8  41
58.5  25
68.7  11
75.8  8
75.9  8
78.2  32
87.4  19



# 10
Diffraction record for Ni2RuS4. The powder XRD pattern is theoretical, not measured: it uses the GGA-PBE geometry in Alexandria and Cu Kα X-rays.

Cell and atoms:
```
Ni2RuS4
1.0
-3.3765 3.4063 4.7912
3.3765 -3.4063 4.7912
3.3765 3.4063 -4.7912
Ni Ru S
4 2 8
Direct
0.0000 0.0000 0.0000
0.3770 0.6270 0.7500
0.5000 0.0000 0.5000
0.6230 0.3730 0.2500
0.0000 0.0000 0.5000
0.0000 0.5000 0.0000
0.2320 0.2423 0.9897
0.2470 0.2314 0.4845
0.2474 0.7577 0.4897
0.2470 0.7625 0.0155
0.7530 0.2375 0.9845
0.7526 0.2423 0.5103
0.7530 0.7686 0.5155
0.7680 0.7577 0.0103
```

Principal peaks in the range 15° ≤ 2θ ≤ 90°, low angle first:
Position (°2θ)  intensity
16.0  45
26.3  24
30.9  82
31.0  100
37.5  86
49.3  34
49.4  37
53.8  23
54.1  90
54.3  22



# 11
Diffraction record for Dy7Pd3. The powder XRD pattern is theoretical, not measured: it uses the GGA-PBE geometry in Alexandria and Cu Kα X-rays.

Cell and atoms:
```
Dy7Pd3
1.0
9.9054 0.0000 0.0000
-4.9527 8.5783 0.0000
0.0000 0.0000 6.2672
Dy Pd
14 6
Direct
0.0792 0.5396 0.0000
0.1255 0.2510 0.3010
0.1255 0.8745 0.3010
0.2510 0.1255 0.8010
0.3333 0.6667 0.4935
0.4604 0.5396 0.0000
0.4604 0.9208 0.0000
0.5396 0.0792 0.5000
0.5396 0.4604 0.5000
0.6667 0.3333 0.9935
0.7490 0.8745 0.3010
0.8745 0.1255 0.8010
0.8745 0.7490 0.8010
0.9208 0.4604 0.5000
0.1904 0.3807 0.7365
0.1904 0.8096 0.7365
0.3807 0.1904 0.2365
0.6193 0.8096 0.7365
0.8096 0.1904 0.2365
0.8096 0.6193 0.2365
```

Principal peaks in the range 15° ≤ 2θ ≤ 90°, low angle first:
Position (°2θ)  intensity
30.4  43
31.1  100
34.5  56
35.5  46
36.3  38
48.5  21
54.4  24
55.1  22
55.5  23
82.5  21



# 12
Diffraction record for Ba2Er2Zn8O13. The powder XRD pattern is theoretical, not measured: it uses the GGA-PBE geometry in Alexandria and Cu Kα X-rays.

Cell and atoms:
```
Ba2Er2Zn8O13
1.0
5.6002 -3.1957 0.0000
5.6002 3.1957 0.0000
-0.0078 0.0000 10.5616
Ba Er Zn O
2 2 8 13
Direct
0.0000 0.0000 0.0000
0.7095 0.7095 0.5701
0.0239 0.0239 0.6512
0.6675 0.6675 0.1317
0.0148 0.5210 0.8471
0.1893 0.1893 0.3364
0.2480 0.6833 0.3591
0.3423 0.3423 0.5899
0.3525 0.3525 0.0900
0.5189 0.5189 0.8298
0.5210 0.0148 0.8471
0.6833 0.2480 0.3591
0.0160 0.5541 0.0345
0.1535 0.6842 0.5274
0.1780 0.1780 0.5220
0.3493 0.3493 0.7775
0.3499 0.8587 0.2621
0.3542 0.8572 0.7719
0.3608 0.3608 0.2808
0.5175 0.5175 0.0166
0.5541 0.0160 0.0345
0.6842 0.1535 0.5274
0.8572 0.3542 0.7719
0.8571 0.8571 0.7770
0.8587 0.3499 0.2621
```

Principal peaks in the range 15° ≤ 2θ ≤ 90°, low angle first:
Position (°2θ)  intensity
27.7  44
27.9  24
30.0  92
32.5  100
32.8  51
33.1  24
33.4  67
52.4  22
54.6  32
57.1  26